Record 1
This entry pairs a crystal structure of Tb2PrNd2Dy with its theoretical powder diffraction line list. Radiation: Cu Kα. Structure: a structure optimized by DFT (GGA-PBE).
Lines closer than 0.1° are merged.

Structural model:
Cell: 7.0757 9.9300 5.7111 Å, 90.00 90.00 90.00°
Sites, in units of the cell vectors:
Tb1 0.2503 0.1668 0.0000
Tb2 0.2497 0.6668 0.5000
Tb3 0.7503 0.3332 0.5000
Tb4 0.7497 0.8332 0.0000
Pr1 0.0000 0.0000 0.5000
Pr2 0.5000 0.5000 0.0000
Nd1 0.2483 0.3333 0.5000
Nd2 0.2517 0.8333 0.0000
Nd3 0.7483 0.1667 0.0000
Nd4 0.7517 0.6667 0.5000
Dy1 0.0000 0.5000 0.0000
Dy2 0.5000 0.0000 0.5000

Top 12 peaks for 2θ = 10–90°, by angle:
two_theta	d [Å]	I/Imax
31.1	2.879	90.4
31.3	2.861	100.0
40.6	2.225	11.0
44.6	2.029	33.4
51.7	1.769	8.2
55.5	1.656	30.1
55.6	1.653	11.7
55.7	1.650	13.0
61.6	1.505	28.8
65.1	1.432	8.1
79.4	1.207	9.3
87.7	1.113	7.4

---

Record 2
This entry pairs a crystal structure of TbPrNd2Dy5 with its theoretical powder diffraction line list. Radiation: Cu Kα. Structure: a structure optimized by DFT (GGA-PBE).
Lines closer than 0.1° are merged.

Structural model:
Cell: 9.9435 9.9435 9.9435 Å, 127.72 127.72 77.07°
Sites, in units of the cell vectors:
Tb1 0.2500 0.7500 0.5000
Tb2 0.7500 0.2500 0.5000
Pr1 0.2500 0.2500 0.0000
Pr2 0.7500 0.7500 0.0000
Nd1 0.1171 0.6171 0.7341
Nd2 0.3829 0.1171 0.5000
Nd3 0.6171 0.8829 0.5000
Nd4 0.8829 0.3829 0.2659
Dy1 0.0000 0.0000 0.0000
Dy2 0.0722 0.1530 0.5000
Dy3 0.1530 0.6530 0.0808
Dy4 0.3470 0.4278 0.5000
Dy5 0.4278 0.9278 0.0808
Dy6 0.5000 0.5000 0.0000
Dy7 0.5722 0.0722 0.9192
Dy8 0.6530 0.5722 0.5000
Dy9 0.8470 0.3470 0.9192
Dy10 0.9278 0.8470 0.5000

Top 12 peaks for 2θ = 10–90°, by angle:
two_theta	d [Å]	I/Imax
28.6	3.126	47.0
28.8	3.097	51.3
30.7	2.908	100.0
32.3	2.770	12.3
34.4	2.610	11.7
36.9	2.436	11.3
37.5	2.401	16.1
42.9	2.107	19.9
46.2	1.966	10.6
46.7	1.944	12.2
52.3	1.750	22.1
55.8	1.647	13.2

---

Record 3
This entry pairs a crystal structure of PrNdDyTl with its theoretical powder diffraction line list. Radiation: Cu Kα. Structure: a structure optimized by DFT (GGA-PBE).
Lines closer than 0.1° are merged.

Structural model:
Cell: 4.9154 4.9315 5.0442 Å, 90.00 90.00 90.00°
Sites, in units of the cell vectors:
Pr1 0.0000 0.0000 0.0000
Nd1 0.5000 0.5000 0.0000
Dy1 0.5000 0.0000 0.5000
Tl1 0.0000 0.5000 0.5000

Top 12 peaks for 2θ = 10–90°, by angle:
two_theta	d [Å]	I/Imax
31.2	2.865	100.0
35.6	2.522	17.6
36.4	2.466	16.6
36.6	2.458	16.4
51.9	1.762	24.3
52.6	1.741	11.7
61.2	1.514	14.8
62.3	1.489	14.0
62.5	1.486	13.9
65.1	1.433	12.3
84.8	1.143	6.0
85.0	1.142	6.0